For Er2Tm5Ni2Te2, a DFT-relaxed cell (GGA-PBE, OQMD) gives the computed powder X-ray diffraction pattern in this record (Cu Kα X-rays).
Intensities are scaled so that the largest is 1000.

Crystal structure
```
data_Er2Tm5Ni2Te2
_chemical_formula_sum 'Er4 Tm10 Ni4 Te4'
_symmetry_space_group_name_H-M 'I m m 2'
_symmetry_Int_Tables_number 44
_symmetry_space_group_name_Hall 'I 2 -2'
_cell_length_a 3.8172
_cell_length_b 15.4293
_cell_length_c 9.4615
_cell_angle_alpha 90.00
_cell_angle_beta 90.00
_cell_angle_gamma 90.00
loop_
_atom_site_label
_atom_site_fract_x
_atom_site_fract_y
_atom_site_fract_z
_atom_site_occupancy
Er1 0.0000 0.1854 0.0000 1
Tm1 0.0000 0.1465 0.3510 1
Tm2 0.0000 0.3667 0.2038 1
Tm3 0.0000 0.5000 0.6208 1
Ni1 0.0000 0.2624 0.6929 1
Te1 0.0000 0.0000 0.8558 1
Te2 0.0000 0.5000 0.9582 1
```

Top 10 peaks for 2θ = 10–90°, in order of rising 2θ:
two_theta, d_spacing, I_rel, h k l
29.13, 3.065, 220, 1 3 0
30.47, 2.934, 220, 0 5 1
30.65, 2.917, 515, 1 1 2
33.33, 2.689, 788, 0 3 3
34.39, 2.608, 1000, 1 4 1
34.88, 2.572, 732, 0 6 0
36.97, 2.431, 219, 1 0 3
38.84, 2.319, 182, 1 2 3
47.65, 1.909, 295, 2 0 0
59.39, 1.556, 303, 2 3 3



For DyHoBr6, a DFT-relaxed cell (GGA-PBE, OQMD) gives the computed powder X-ray diffraction pattern in this record (Cu Kα X-rays).
Intensities are scaled so that the largest is 1000.

Crystal structure
```
data_DyHoBr6
_chemical_formula_sum 'Dy2 Ho2 Br12'
_symmetry_space_group_name_H-M 'C 1 2 1'
_symmetry_Int_Tables_number 5
_symmetry_space_group_name_Hall 'C 2y'
_cell_length_a 7.0855
_cell_length_b 12.3277
_cell_length_c 6.9475
_cell_angle_alpha 90.00
_cell_angle_beta 110.75
_cell_angle_gamma 90.00
loop_
_atom_site_label
_atom_site_fract_x
_atom_site_fract_y
_atom_site_fract_z
_atom_site_occupancy
Dy1 0.0000 0.0000 0.0000 1
Ho1 0.0000 0.6684 0.0000 1
Br1 0.2332 0.8335 0.2452 1
Br2 0.2385 0.6572 0.7554 1
Br3 0.2404 0.0118 0.7552 1
```

Top 10 peaks for 2θ = 10–90°, in order of rising 2θ:
two_theta, d_spacing, I_rel, h k l
13.63, 6.497, 629, 0 0 1
14.37, 6.164, 187, 0 2 0
15.18, 5.836, 313, 1 1 0
16.96, 5.228, 225, 1 1 -1
25.50, 3.493, 387, 1 3 0
30.98, 2.886, 512, 2 0 -2
31.26, 2.861, 1000, 1 3 1
44.24, 2.047, 380, 3 3 -1
44.95, 2.017, 359, 1 3 -3
54.85, 1.674, 190, 2 6 -2



For Sm3Cu4P4, a DFT-relaxed cell (GGA-PBE, OQMD) gives the computed powder X-ray diffraction pattern in this record (Cu Kα X-rays).
Intensities are scaled so that the largest is 1000.

Crystal structure
```
data_Sm3Cu4P4
_chemical_formula_sum 'Sm3 Cu4 P4'
_symmetry_space_group_name_H-M 'P -3 m 1'
_symmetry_Int_Tables_number 164
_symmetry_space_group_name_Hall '-P 3 2"'
_cell_length_a 3.9961
_cell_length_b 3.9961
_cell_length_c 14.4331
_cell_angle_alpha 90.00
_cell_angle_beta 90.00
_cell_angle_gamma 120.00
loop_
_atom_site_label
_atom_site_fract_x
_atom_site_fract_y
_atom_site_fract_z
_atom_site_occupancy
Sm1 0.0000 0.0000 0.0000 1
Sm2 0.0000 0.0000 0.2858 1
Cu1 0.3333 0.6667 0.1374 1
Cu2 0.3333 0.6667 0.5622 1
P1 0.3333 0.6667 0.3956 1
P2 0.3333 0.6667 0.8623 1
```

Top 10 peaks for 2θ = 10–90°, in order of rising 2θ:
two_theta, d_spacing, I_rel, h k l
25.74, 3.461, 269, 1 0 0
28.61, 3.120, 245, 1 0 2
31.85, 2.809, 1000, 1 0 3
35.96, 2.498, 804, 0 1 4
43.91, 2.062, 214, 0 0 7
45.39, 1.998, 691, 1 1 0
56.52, 1.628, 192, 0 2 3
59.22, 1.560, 185, 2 0 4
65.00, 1.435, 386, 1 1 7
77.64, 1.230, 166, 1 2 4



For Tb3SiTe2, a DFT-relaxed cell (GGA-PBE, OQMD) gives the computed powder X-ray diffraction pattern in this record (Cu Kα X-rays).
Intensities are scaled so that the largest is 1000.

Crystal structure
```
data_Tb3SiTe2
_chemical_formula_sum 'Tb12 Si4 Te8'
_symmetry_space_group_name_H-M 'C 1 2/c 1'
_symmetry_Int_Tables_number 15
_symmetry_space_group_name_Hall '-C 2yc'
_cell_length_a 7.5593
_cell_length_b 12.8699
_cell_length_c 7.4097
_cell_angle_alpha 90.00
_cell_angle_beta 109.70
_cell_angle_gamma 90.00
loop_
_atom_site_label
_atom_site_fract_x
_atom_site_fract_y
_atom_site_fract_z
_atom_site_occupancy
Tb1 0.2152 0.0730 0.4946 1
Tb2 0.2500 0.2500 0.0000 1
Si1 0.0000 0.0898 0.7500 1
Te1 0.0000 0.2593 0.2500 1
Te2 0.0000 0.4191 0.7500 1
```

Top 10 peaks for 2θ = 10–90°, in order of rising 2θ:
two_theta, d_spacing, I_rel, h k l
25.34, 3.514, 140, 1 3 -1
29.19, 3.059, 516, 2 0 -2
29.38, 3.040, 1000, 1 3 1
41.57, 2.173, 340, 3 3 -1
41.94, 2.154, 179, 2 0 2
42.19, 2.142, 561, 1 3 -3
52.07, 1.756, 184, 2 6 -2
52.47, 1.744, 115, 0 0 4
60.95, 1.520, 109, 2 6 2
69.19, 1.358, 151, 3 3 -5



For Tm3Mg3HgAu2, a DFT-relaxed cell (GGA-PBE, OQMD) gives the computed powder X-ray diffraction pattern in this record (Cu Kα X-rays).
Intensities are scaled so that the largest is 1000.

Crystal structure
```
data_Tm3Mg3HgAu2
_chemical_formula_sum 'Tm3 Mg3 Hg1 Au2'
_symmetry_space_group_name_H-M 'P -6 2 m'
_symmetry_Int_Tables_number 189
_symmetry_space_group_name_Hall 'P -6 -2'
_cell_length_a 7.5979
_cell_length_b 7.5979
_cell_length_c 4.0868
_cell_angle_alpha 90.00
_cell_angle_beta 90.00
_cell_angle_gamma 120.00
loop_
_atom_site_label
_atom_site_fract_x
_atom_site_fract_y
_atom_site_fract_z
_atom_site_occupancy
Tm1 0.0000 0.5845 0.0000 1
Mg1 0.0000 0.2553 0.5000 1
Hg1 0.0000 0.0000 0.0000 1
Au1 0.3333 0.6667 0.5000 1
```

Top 10 peaks for 2θ = 10–90°, in order of rising 2θ:
two_theta, d_spacing, I_rel, h k l
23.42, 3.799, 475, 1 1 0
25.66, 3.472, 243, 1 0 1
32.17, 2.782, 609, 1 1 1
35.01, 2.563, 1000, 2 0 1
41.16, 2.193, 364, 3 0 0
42.55, 2.125, 339, 2 1 1
44.33, 2.043, 211, 0 0 2
55.11, 1.666, 169, 3 1 1
62.08, 1.495, 219, 3 0 2
65.97, 1.416, 253, 3 2 1



For Lu4ZnCoC2, a DFT-relaxed cell (GGA-PBE, OQMD) gives the computed powder X-ray diffraction pattern in this record (Cu Kα X-rays).
Intensities are scaled so that the largest is 1000.

Crystal structure
```
data_Lu4ZnCoC2
_chemical_formula_sum 'Lu4 Zn1 Co1 C2'
_symmetry_space_group_name_H-M 'P -6 m 2'
_symmetry_Int_Tables_number 187
_symmetry_space_group_name_Hall 'P -6 2'
_cell_length_a 3.4895
_cell_length_b 3.4895
_cell_length_c 14.0766
_cell_angle_alpha 90.00
_cell_angle_beta 90.00
_cell_angle_gamma 120.00
loop_
_atom_site_label
_atom_site_fract_x
_atom_site_fract_y
_atom_site_fract_z
_atom_site_occupancy
Lu1 0.0000 0.0000 0.1394 1
Lu2 0.3333 0.6667 0.3262 1
Zn1 0.0000 0.0000 0.5000 1
Co1 0.3333 0.6667 0.0000 1
C1 0.6667 0.3333 0.2373 1
```

Top 10 peaks for 2θ = 10–90°, in order of rising 2θ:
two_theta, d_spacing, I_rel, h k l
29.56, 3.022, 268, 1 0 0
30.25, 2.955, 152, 1 0 1
35.33, 2.541, 1000, 1 0 3
38.37, 2.346, 115, 0 0 6
49.16, 1.853, 113, 1 0 6
52.44, 1.745, 253, 1 1 0
60.93, 1.521, 100, 1 0 8
64.82, 1.438, 170, 2 0 3
66.82, 1.400, 136, 1 1 6
88.00, 1.110, 152, 2 1 3



For Dy4BI2Br3, a DFT-relaxed cell (GGA-PBE, OQMD) gives the computed powder X-ray diffraction pattern in this record (Cu Kα X-rays).
Intensities are scaled so that the largest is 1000.

Crystal structure
```
data_Dy4BI2Br3
_chemical_formula_sum 'Dy8 B2 I4 Br6'
_symmetry_space_group_name_H-M 'C 1 2/m 1'
_symmetry_Int_Tables_number 12
_symmetry_space_group_name_Hall '-C 2y'
_cell_length_a 18.6667
_cell_length_b 3.9580
_cell_length_c 8.2557
_cell_angle_alpha 90.00
_cell_angle_beta 101.72
_cell_angle_gamma 90.00
loop_
_atom_site_label
_atom_site_fract_x
_atom_site_fract_y
_atom_site_fract_z
_atom_site_occupancy
Dy1 0.0011 0.0000 0.2941 1
Dy2 0.1366 0.5000 0.5731 1
B1 0.0000 0.5000 0.5000 1
I1 0.1738 0.0000 0.3134 1
Br1 0.0000 0.5000 0.0000 1
Br2 0.1574 0.0000 0.8307 1
```

Top 10 peaks for 2θ = 10–90°, in order of rising 2θ:
two_theta, d_spacing, I_rel, h k l
10.95, 8.084, 494, 0 0 1
29.32, 3.046, 447, 6 0 0
30.22, 2.957, 157, 3 1 1
31.31, 2.857, 1000, 1 1 -2
33.37, 2.685, 230, 5 1 0
33.54, 2.672, 217, 5 1 -1
43.14, 2.097, 291, 5 1 2
43.72, 2.071, 243, 7 1 -2
45.85, 1.979, 191, 0 2 0
55.36, 1.660, 149, 6 2 0



For Zr3Bi2Sb2Pt4, a DFT-relaxed cell (GGA-PBE, OQMD) gives the computed powder X-ray diffraction pattern in this record (Cu Kα X-rays).
Intensities are scaled so that the largest is 1000.

Crystal structure
```
data_Zr3Bi2Sb2Pt4
_chemical_formula_sum 'Zr6 Bi4 Sb4 Pt8'
_symmetry_space_group_name_H-M 'I -4 2 m'
_symmetry_Int_Tables_number 121
_symmetry_space_group_name_Hall 'I -4 2'
_cell_length_a 6.5300
_cell_length_b 6.5300
_cell_length_c 12.5947
_cell_angle_alpha 90.00
_cell_angle_beta 90.00
_cell_angle_gamma 90.00
loop_
_atom_site_label
_atom_site_fract_x
_atom_site_fract_y
_atom_site_fract_z
_atom_site_occupancy
Zr1 0.0000 0.0000 0.0000 1
Zr2 0.0000 0.5000 0.2500 1
Bi1 0.0000 0.0000 0.2741 1
Sb1 0.0000 0.5000 0.0000 1
Pt1 0.2314 0.2314 0.8725 1
```

Top 10 peaks for 2θ = 10–90°, in order of rising 2θ:
two_theta, d_spacing, I_rel, h k l
23.90, 3.724, 1000, 1 1 2
37.52, 2.397, 117, 2 1 3
39.01, 2.309, 562, 2 2 0
39.77, 2.266, 996, 2 0 4
46.27, 1.962, 324, 3 1 2
47.60, 1.911, 161, 1 1 6
56.36, 1.633, 184, 4 0 0
63.18, 1.472, 143, 3 1 6
71.18, 1.325, 326, 4 2 4
72.70, 1.301, 126, 2 2 8